Simulated powder diffractogram of LaEuDy2 for Cu Kα (λ = 1.5418 Å), from DFT lattice parameters and positions (GGA-PBE).
No peak broadening, texture or thermal motion is included.

Peak list (10 most intense, 2θ from 10° to 90°, low angle first)
Position (°2θ)  Rel. int.  (hkl)
29.89  100  1 1 1
34.65  51  2 0 0
49.81  36  2 2 0
59.19  43  3 1 1
62.10  13  2 2 2
73.07  4  4 0 0
73.19  2  0 0 4
80.94  18  3 3 1
83.47  11  4 2 0
83.57  6  2 0 4

Crystal structure
```
data_LaEuDy2
_cell_length_a 5.180
_cell_length_b 5.180
_cell_length_c 5.172
_cell_angle_alpha 90.00
_cell_angle_beta 90.00
_cell_angle_gamma 90.00
_symmetry_space_group_name_H-M 'P 4/m m m'
_symmetry_Int_Tables_number 123
_symmetry_space_group_name_Hall '-P 4 2'
loop_
_atom_site_label
_atom_site_type_symbol
_atom_site_fract_x
_atom_site_fract_y
_atom_site_fract_z
_atom_site_occupancy
La1 La 0.000 0.000 0.000 1
Eu1 Eu 0.500 0.500 0.000 1
Dy1 Dy 0.000 0.500 0.500 1
```


Simulated powder diffractogram of Al2TlZn for Cu Kα (λ = 1.5418 Å), from DFT lattice parameters and positions (GGA-PBE).
No peak broadening, texture or thermal motion is included.

Peak list (10 most intense, 2θ from 10° to 90°, low angle first)
Position (°2θ)  Rel. int.  (hkl)
15.59  24  0 0 1
21.22  48  2 0 0
23.42  16  2 0 -1
28.60  17  1 1 0
31.52  58  0 0 2
33.91  100  1 1 1
42.21  17  2 0 2
42.36  37  3 1 -1
43.21  17  4 0 0
54.55  24  0 2 0

Crystal structure
```
data_Al2TlZn
_cell_length_a 8.590
_cell_length_b 3.363
_cell_length_c 5.830
_cell_angle_alpha 90.00
_cell_angle_beta 102.85
_cell_angle_gamma 90.00
_symmetry_space_group_name_H-M 'C 1 2/m 1'
_symmetry_Int_Tables_number 12
loop_
_symmetry_equiv_pos_as_xyz
'x,y,z'
'-x,-y,-z'
'-x,y,-z'
'x,-y,z'
'x+1/2,y+1/2,z'
'-x+1/2,-y+1/2,-z'
'-x+1/2,y+1/2,-z'
'x+1/2,-y+1/2,z'
loop_
_atom_site_label
_atom_site_type_symbol
_atom_site_fract_x
_atom_site_fract_y
_atom_site_fract_z
_atom_site_occupancy
Al1 Al 0.241 0.000 0.196 1
Tl1 Tl 0.000 0.000 0.500 1
Zn1 Zn 0.000 0.500 0.000 1
```